Record 1
For Nd2Mg3Cd3, DFT lattice parameters and positions (GGA-PBE) gives the calculated XRD peak list in this record (λ = 1.5418 Å (Cu Kα)).
No peak broadening, texture or thermal motion is included.

Peak list (6 most intense, 15° ≤ 2θ ≤ 90°, low angle first)
- hkl 0 0 6, 20.93°, intensity 30
- hkl 1 1 0, 34.51°, intensity 100
- hkl 1 1 6, 40.71°, intensity 16
- hkl 2 0 8, 49.60°, intensity 17
- hkl 1 2 8, 61.81°, intensity 26
- hkl 3 1 8, 83.09°, intensity 15

Structural model:
Lattice parameters (Å, degrees): 5.1949 5.1949 25.4988 90.00 90.00 120.00
Space group R3m (No. 160, hexagonal axes)
Symmetry-distinct sites (fractional):
Nd: 0.0000 0.0000 0.0000 x3
Nd: 0.0000 0.0000 0.4962 x3
Mg: 0.0000 0.0000 0.2474 x3
Mg: 0.0000 0.0000 0.6224 x3
Mg: 0.0000 0.0000 0.7484 x3
Cd: 0.0000 0.0000 0.1238 x3
Cd: 0.0000 0.0000 0.3703 x3
Cd: 0.0000 0.0000 0.8758 x3

Record 2
For Ce4ErAs6, DFT lattice parameters and positions (GGA-PBE) gives the calculated XRD peak list in this record (λ = 1.5418 Å (Cu Kα)).
No peak broadening, texture or thermal motion is included.

Peak list (6 most intense, 15° ≤ 2θ ≤ 90°, low angle first)
- hkl 3 0 0, 26.92°, intensity 86
- hkl 0 2 4, 30.58°, intensity 72
- hkl 1 3 1, 33.09°, intensity 79
- hkl 2 1 4, 34.43°, intensity 100
- hkl 2 2 3, 36.45°, intensity 91
- hkl 3 2 4, 47.13°, intensity 49

Structural model:
Lattice parameters (Å, degrees): 11.4746 11.4746 14.4630 90.00 90.00 120.00
Space group R-3c (No. 167, hexagonal axes)
Symmetry-distinct sites (fractional):
Ce: 0.0000 0.0000 0.2500 x6
Ce: 0.0000 0.3821 0.2500 x18
Er: 0.0000 0.0000 0.0000 x6
As: 0.0296 0.2089 0.3869 x36

Record 3
For Er3Tm5Th3, DFT lattice parameters and positions (GGA-PBE) gives the calculated XRD peak list in this record (λ = 1.5418 Å (Cu Kα)).
No peak broadening, texture or thermal motion is included.

Peak list (6 most intense, 15° ≤ 2θ ≤ 90°, low angle first)
- hkl 3 0 0, 27.83°, intensity 100
- hkl 1 1 1, 30.93°, intensity 97
- hkl 2 2 0, 32.28°, intensity 67
- hkl 3 1 0, 33.60°, intensity 85
- hkl 2 1 1, 36.26°, intensity 63
- hkl 2 2 1, 42.09°, intensity 90

Structural model:
Lattice parameters (Å, degrees): 11.1031 11.1031 3.3861 90.00 90.00 120.00
Space group P-62m (No. 189)
Symmetry-distinct sites (fractional):
Er: 0.0000 0.5920 0.0000 x3
Tm: 0.0000 0.8396 0.5000 x3
Tm: 0.3333 0.6667 0.5000 x2
Th: 0.0000 0.3380 0.5000 x3

Record 4
For DyBBr, DFT lattice parameters and positions (GGA-PBE) gives the calculated XRD peak list in this record (λ = 1.5418 Å (Cu Kα)).
No peak broadening, texture or thermal motion is included.

Peak list (6 most intense, 15° ≤ 2θ ≤ 90°, low angle first)
- hkl 0 0 2, 15.03°, intensity 87
- hkl 1 1 0, 29.14°, intensity 77
- hkl 1 1 1, 30.21°, intensity 100
- hkl 1 1 -3, 37.03°, intensity 65
- hkl 1 1 3, 37.39°, intensity 89
- hkl 0 2 0, 51.66°, intensity 73

Structural model:
Lattice parameters (Å, degrees): 6.1296 3.5388 11.7885 90.00 91.13 90.00
Space group C2/m (No. 12)
Symmetry-distinct sites (fractional):
Dy: 0.0058 0.0000 0.1532 x4
B: 0.1664 0.5000 0.9939 x4
Br: 0.1789 0.5000 0.3228 x4